This entry pairs a crystal structure of La4MgGa2Fe2O12 with its simulated PXRD pattern. Radiation: Cu Ka. Structure: the GGA+U geometry in Alexandria.
Peak positions follow from Bragg's law for the DFT cell and can differ from measured ones.

Top 12 peaks for 10 to 90 degrees two-theta, most intense first:
Position (°2θ), I/Imax, hkl
31.89, 100, 1 1 -2
30.00, 41, 1 -1 2
32.03, 32, 1 2 1
29.75, 29, 0 2 -1
28.66, 28, 1 1 2
24.64, 25, -1 1 1
36.00, 24, 0 1 3
29.08, 24, 0 2 1
44.14, 21, 2 2 -1
22.15, 19, 1 1 1
34.43, 18, -1 2 1
23.42, 18, 1 -1 1

Cell and atoms:
```
La4MgGa2Fe2O12
1.0
5.660 0.000 0.000
0.316 6.569 0.000
0.885 0.251 7.986
La Mg Ga Fe O
4 1 2 2 12
Direct
0.000 0.000 0.000
0.085 0.228 0.557
0.427 0.676 0.424
0.540 0.456 0.942
0.894 0.869 0.394
0.016 0.479 0.208
0.533 0.971 0.756
0.048 0.615 0.772
0.501 0.116 0.229
0.136 0.634 0.022
0.203 0.966 0.323
0.227 0.907 0.698
0.324 0.386 0.272
0.343 0.468 0.667
0.424 0.113 0.954
0.691 0.041 0.546
0.695 0.851 0.213
0.735 0.763 0.832
0.808 0.284 0.164
0.893 0.300 0.811
0.927 0.574 0.431
```